[1]
# Cs4Ac3PmTe8
Computed X-ray diffraction stick pattern, copper Kα. Input: the GGA-PBE geometry in Alexandria.
Neutral-atom scattering factors, no anomalous dispersion.

Top 10 peaks for 10 to 80 degrees two-theta, low angle first:
- 25.00°, intensity 1000, hkl 0 2 4
- 31.54°, intensity 101, hkl 0 2 7
- 34.14°, intensity 354, hkl 2 0 8
- 37.11°, intensity 381, hkl 2 2 0
- 42.75°, intensity 70, hkl 2 0 11
- 45.27°, intensity 201, hkl 4 0 4
- 51.31°, intensity 111, hkl 0 4 8
- 55.83°, intensity 118, hkl 2 2 12
- 59.92°, intensity 174, hkl 2 4 4
- 65.00°, intensity 108, hkl 4 2 8

Cell and atoms:
Cell: 9.6898 9.6898 26.9426 Å, 90.00 90.00 120.00°
Space group R-3m (No. 166, hexagonal axes)
Inequivalent atoms, fractional coordinates:
Cs: 0.0000 0.0000 0.0000
Cs: 0.0000 0.5000 0.0000
Ac: 0.0000 0.5000 0.5000
Pm: 0.0000 0.0000 0.5000
Te: 0.0000 0.0000 0.2347
Te: 0.0115 0.5058 0.2327

***

[2]
# PaCr3H6
Computed X-ray diffraction stick pattern, copper Kα. Input: the GGA-PBE geometry in Alexandria.
Neutral-atom scattering factors, no anomalous dispersion.

Top 10 peaks for 10 to 80 degrees two-theta, low angle first:
- 21.41°, intensity 251, hkl 0 0 1
- 22.79°, intensity 887, hkl 1 1 0
- 25.98°, intensity 541, hkl 0 1 -1
- 36.20°, intensity 714, hkl 1 0 2
- 37.92°, intensity 1000, hkl 2 1 1
- 42.45°, intensity 496, hkl 1 1 2
- 43.96°, intensity 256, hkl 2 1 0
- 44.70°, intensity 170, hkl 2 2 1
- 53.43°, intensity 237, hkl 2 2 2
- 68.50°, intensity 171, hkl 3 3 1

Cell and atoms:
Cell: 4.745 4.745 4.968 Å, 89.99 61.56 60.00°
Space group P1 (No. 1)
Inequivalent atoms, fractional coordinates:
Pa: 0.000 0.000 0.000
Cr: 0.492 0.754 0.261
Cr: 0.586 0.207 0.620
Cr: 0.875 0.563 0.687
H: 0.040 0.807 0.440
H: 0.048 0.484 0.942
H: 0.366 0.155 0.438
H: 0.526 0.991 0.942
H: 0.541 0.469 0.942
H: 0.716 0.479 0.438

***

[3]
# Tb4Nd8Th
Computed X-ray diffraction stick pattern, copper Kα. Input: the GGA-PBE geometry in Alexandria.
Neutral-atom scattering factors, no anomalous dispersion.

Top 10 peaks for 10 to 80 degrees two-theta, low angle first:
- 25.81°, intensity 177, hkl 1 0 7
- 27.96°, intensity 108, hkl 0 2 1
- 28.06°, intensity 200, hkl 0 0 9
- 30.52°, intensity 1000, hkl 0 2 4
- 31.96°, intensity 266, hkl 2 0 5
- 37.64°, intensity 344, hkl 2 0 8
- 49.15°, intensity 291, hkl 2 2 0
- 50.25°, intensity 109, hkl 0 2 13
- 57.54°, intensity 151, hkl 2 2 9
- 58.96°, intensity 128, hkl 4 0 4

Cell and atoms:
Cell: 7.4156 7.4156 28.6157 Å, 90.00 90.00 120.00°
Space group R-3m (No. 166, hexagonal axes)
Inequivalent atoms, fractional coordinates:
Tb: 0.0000 0.0000 0.0000
Tb: 0.0000 0.5000 0.0000
Nd: 0.0000 0.0000 0.2145
Nd: 0.0349 0.5174 0.7646
Th: 0.0000 0.0000 0.5000